This entry pairs a crystal structure of K2BiPWO8 with its simulated X-ray diffraction stick pattern. Radiation: a wavelength of 1.5418 Å. Structure: a GGA+U-relaxed structure.

Main lines, low angle first (15° ≤ 2θ ≤ 90°):
- d = 5.286 Å, rel. 70
- d = 4.601 Å, rel. 47
- d = 3.906 Å, rel. 44
- d = 3.407 Å, rel. 73
- d = 3.367 Å, rel. 100
- d = 3.347 Å, rel. 74
- d = 2.911 Å, rel. 45
- d = 2.853 Å, rel. 45

Crystal structure
```
K2BiPWO8
1.0
-3.573 6.301 10.042
3.573 -6.301 10.042
3.573 6.301 -10.042
K Bi P W O
8 4 4 4 32
Cartesian
3.770 -0.969 3.132 K
0.196 0.969 3.132 K
3.770 5.332 -3.132 K
3.770 0.969 6.910 K
-0.196 5.332 3.132 K
-0.196 0.969 13.174 K
3.377 5.332 6.910 K
-0.196 7.270 6.910 K
5.360 2.137 0.000 Bi
1.787 4.164 0.000 Bi
1.787 2.137 10.042 Bi
-1.787 4.164 10.042 Bi
1.787 0.920 0.000 P
1.787 -0.920 10.042 P
1.787 7.221 0.000 P
1.787 5.380 10.042 P
3.573 -3.150 6.675 W
3.573 3.150 3.367 W
0.000 3.150 6.675 W
0.000 9.451 3.367 W
1.958 -0.001 1.235 O
5.531 0.001 1.235 O
3.138 4.577 -5.657 O
2.105 -3.572 7.696 O
2.990 1.904 -0.201 O
3.138 -1.723 5.657 O
0.583 1.904 0.201 O
1.468 3.572 -2.346 O
5.041 2.728 2.346 O
4.157 4.397 -0.201 O
3.138 1.723 4.385 O
2.990 -1.904 10.243 O
2.105 3.572 2.346 O
-0.435 1.723 5.657 O
1.958 6.299 -1.235 O
1.958 0.001 8.807 O
1.616 6.299 1.235 O
1.616 0.001 11.277 O
4.009 4.577 4.385 O
1.468 2.728 7.696 O
0.583 8.205 -0.201 O
0.435 4.577 5.657 O
-0.583 1.904 10.243 O
-1.468 3.572 7.696 O
2.105 2.728 12.388 O
2.990 4.397 9.841 O
0.435 8.024 4.385 O
0.583 4.397 10.243 O
1.468 9.873 2.346 O
0.435 1.723 15.699 O
-1.958 6.299 8.807 O
1.616 6.302 8.807 O
```